# Co2BiPbF8
Theoretical powder diffractogram, a wavelength of 1.5418 Å. Input: a DFT-relaxed cell (GGA+U, Alexandria).
Peak positions follow from Bragg's law for the DFT cell and can differ from measured ones.

Peak list (12 most intense, 2θ from 10° to 90°, low angle first)
2θ 16.26, I 76; 2θ 21.84, I 40; 2θ 22.21, I 41; 2θ 25.39, I 100; 2θ 25.83, I 91; 2θ 29.19, I 68; 2θ 29.36, I 71; 2θ 31.08, I 34; 2θ 40.94, I 32; 2θ 45.31, I 43; 2θ 46.10, I 35; 2θ 46.39, I 30

```
Co2BiPbF8
1.0
4.1135 0.0000 0.0000
0.8062 5.4984 0.0000
0.2913 1.0593 8.0057
Co Bi Pb F
2 1 1 8
Cartesian
0.3240 0.5339 2.2683 Co
4.8870 6.0238 5.7373 Co
2.4599 2.7492 0.0000 Bi
2.6055 3.2789 4.0028 Pb
0.5395 1.7740 4.0728 F
0.4639 1.5163 0.4067 F
2.2638 4.3441 1.7078 F
2.6353 5.0367 5.9051 F
2.5757 1.5210 2.1006 F
2.9472 2.2136 6.2979 F
4.7470 5.0415 7.5990 F
4.6715 4.7837 3.9329 F
```